Entry 1:
The following is a calculated X-ray powder pattern of Pr5Si4. It was derived from a DFT-relaxed cell (PBE, the Materials Project), using Cu Kα (λ = 1.5418 Å).
Neutral-atom scattering factors, no anomalous dispersion.

Structure:
```
data_Pr5Si4
_symmetry_space_group_name_H-M 'P 41 21 2'
_symmetry_Int_Tables_number 92
_cell_length_a 7.9614
_cell_length_b 7.9614
_cell_length_c 15.2346
_cell_angle_alpha 90.00
_cell_angle_beta 90.00
_cell_angle_gamma 90.00
loop_
_symmetry_equiv_pos_as_xyz
'x,y,z'
'-y+1/2,x+1/2,z+1/4'
'-x,-y,z+1/2'
'y+1/2,-x+1/2,z+3/4'
'x+1/2,-y+1/2,-z+3/4'
'-y,-x,-z+1/2'
'-x+1/2,y+1/2,-z+1/4'
'y,x,-z'
loop_
_atom_site_label
_atom_site_type_symbol
_atom_site_fract_x
_atom_site_fract_y
_atom_site_fract_z
_atom_site_occupancy
Pr1 Pr 0.0107 0.3758 0.0510 1
Pr2 Pr 0.0178 0.8724 0.1243 1
Pr3 Pr 0.1902 0.8098 0.7500 1
Si1 Si 0.0770 0.7108 0.9409 1
Si2 Si 0.1678 0.1972 0.7996 1
```

Principal peaks in the range 10° ≤ 2θ ≤ 80°, most intense first:
| hkl | 2θ (°) | I (rel.) |
| --- | --- | --- |
| 2 2 1 | 32.34 | 100.0 |
| 2 1 3 | 30.67 | 72.8 |
| 1 1 5 | 33.44 | 46.2 |
| 3 0 2 | 35.83 | 46.1 |
| 3 1 6 | 51.09 | 40.2 |
| 2 0 3 | 28.49 | 33.5 |
| 1 1 4 | 28.29 | 32.6 |
| 4 0 2 | 47.20 | 31.9 |
| 1 0 4 | 25.93 | 31.4 |
| 2 0 2 | 25.24 | 29.7 |

Entry 2:
The following is a calculated X-ray powder pattern of Eu2Si3Ag. It was derived from a DFT-relaxed cell (PBE, the Materials Project), using Cu Kα (λ = 1.5418 Å).
Neutral-atom scattering factors, no anomalous dispersion.

Structure:
```
data_Eu2Si3Ag
_symmetry_space_group_name_H-M 'F d d d'
_symmetry_Int_Tables_number 70
_cell_length_a 8.3962
_cell_length_b 14.5454
_cell_length_c 17.7258
_cell_angle_alpha 90.00
_cell_angle_beta 90.00
_cell_angle_gamma 90.00
loop_
_symmetry_equiv_pos_as_xyz
'x,y,z'
'-x,-y,-z'
'-x+1/4,-y+1/4,z'
'x+1/4,y+1/4,-z'
'x,-y+1/4,-z+1/4'
'-x,y+1/4,z+1/4'
'-x+1/4,y,-z+1/4'
'x+1/4,-y,z+1/4'
'x,y+1/2,z+1/2'
'-x,-y+1/2,-z+1/2'
'-x+1/4,-y+3/4,z+1/2'
'x+1/4,y+3/4,-z+1/2'
'x,-y+3/4,-z+3/4'
'-x,y+3/4,z+3/4'
'-x+1/4,y+1/2,-z+3/4'
'x+1/4,-y+1/2,z+3/4'
'x+1/2,y,z+1/2'
'-x+1/2,-y,-z+1/2'
'-x+3/4,-y+1/4,z+1/2'
'x+3/4,y+1/4,-z+1/2'
'x+1/2,-y+1/4,-z+3/4'
'-x+1/2,y+1/4,z+3/4'
'-x+3/4,y,-z+3/4'
'x+3/4,-y,z+3/4'
'x+1/2,y+1/2,z'
'-x+1/2,-y+1/2,-z'
'-x+3/4,-y+3/4,z'
'x+3/4,y+3/4,-z'
'x+1/2,-y+3/4,-z+1/4'
'-x+1/2,y+3/4,z+1/4'
'-x+3/4,y+1/2,-z+1/4'
'x+3/4,-y+1/2,z+1/4'
loop_
_atom_site_label
_atom_site_type_symbol
_atom_site_fract_x
_atom_site_fract_y
_atom_site_fract_z
_atom_site_occupancy
Eu1 Eu 0.1250 0.1250 0.0006 1
Eu2 Eu 0.1250 0.1250 0.5017 1
Si1 Si 0.1167 0.2942 0.8771 1
Si2 Si 0.1250 0.2866 0.6250 1
Ag1 Ag 0.1250 0.2919 0.1250 1
```

Principal peaks in the range 10° ≤ 2θ ≤ 80°, most intense first:
| hkl | 2θ (°) | I (rel.) |
| --- | --- | --- |
| 2 2 4 | 31.84 | 100.0 |
| 4 0 0 | 43.09 | 33.2 |
| 0 4 0 | 24.48 | 24.3 |
| 4 0 8 | 60.78 | 23.4 |
| 0 8 4 | 54.56 | 21.2 |
| 4 8 4 | 71.93 | 18.6 |
| 0 0 8 | 40.72 | 13.0 |
| 2 2 12 | 68.57 | 10.6 |
| 0 4 8 | 48.09 | 8.3 |
| 6 6 0 | 79.00 | 5.5 |